# Dy2Be2GeO7
Theoretical PXRD pattern, Cu Kα (λ = 1.5418 Å). Input: a GGA-PBE-relaxed structure.
Neutral-atom scattering factors, no anomalous dispersion.

Structural model:
a = 7.4473 Å, b = 7.4473 Å, c = 4.8219 Å
α = 90.00°, β = 90.00°, γ = 90.00°
Space group P-42_1m (No. 113)
Asymmetric unit:
Dy  0.1581  0.3419  0.0059 x4
Be  0.1349  0.6349  0.5473 x4
Ge  0.0000  0.0000  0.5000 x2
O  0.0000  0.5000  0.6867 x2
O  0.0817  0.8284  0.7166 x8
O  0.1420  0.6420  0.2179 x4

Largest 10 diffraction maxima, in order of rising 2θ, 2θ from 15° to 90°:
2θ (°), d_spacing, intensity, (hkl)
18.40, 4.822, 37.0, 0 0 1
25.04, 3.556, 44.5, 1 1 1
26.77, 3.331, 50.7, 2 1 0
30.33, 2.947, 43.0, 2 0 1
32.68, 2.740, 100.0, 2 1 1
38.22, 2.355, 27.1, 3 1 0
46.50, 1.953, 42.9, 2 1 2
54.46, 1.685, 27.0, 3 1 2
55.73, 1.649, 24.9, 3 3 1
64.39, 1.447, 21.7, 2 1 3